# 1
MgFeO2: computed XRD peak list (Cu Kα (λ = 1.5418 Å)), based on a cell relaxed with PBE+U.
Lines closer than 0.1° are merged.

Peak list (10 most intense, 10 to 90 degrees two-theta, by intensity)
- 2θ 14.65, rel. 100
- 2θ 49.27, rel. 77
- 2θ 29.54, rel. 72
- 2θ 34.39, rel. 69
- 2θ 32.03, rel. 69
- 2θ 34.49, rel. 68
- 2θ 23.46, rel. 66
- 2θ 34.70, rel. 53
- 2θ 21.45, rel. 52
- 2θ 50.06, rel. 48

Crystal structure
Lattice parameters (Å, degrees): 2.9760 8.4293 8.5198 91.08 99.85 100.16
Sites, in units of the cell vectors:
Mg (0.0000, 0.0000, 0.0000)
Mg (0.1535, 0.8534, 0.4338)
Mg (0.3735, 0.6435, 0.0958)
Mg (0.7791, 0.2106, 0.3379)
Fe (0.1697, 0.3146, 0.0150)
Fe (0.3979, 0.1208, 0.6631)
Fe (0.7544, 0.7295, 0.7721)
Fe (0.9835, 0.5392, 0.4195)
O (0.1606, 0.6926, 0.6178)
O (0.3765, 0.3605, 0.3841)
O (0.3816, 0.8208, 0.9406)
O (0.5297, 0.7190, 0.3200)
O (0.6239, 0.1348, 0.1135)
O (0.7714, 0.0327, 0.4932)
O (0.7741, 0.4948, 0.0443)
O (0.9916, 0.1590, 0.8161)

***

# 2
MgFe4Si2Sn7O16: computed XRD peak list (Cu Kα (λ = 1.5418 Å)), based on a cell relaxed with PBE+U.
Lines closer than 0.1° are merged.

Peak list (10 most intense, 10 to 90 degrees two-theta, by intensity)
- 2θ 30.92, rel. 100
- 2θ 25.12, rel. 77
- 2θ 30.73, rel. 64
- 2θ 30.99, rel. 63
- 2θ 34.16, rel. 57
- 2θ 34.40, rel. 47
- 2θ 52.64, rel. 46
- 2θ 45.71, rel. 35
- 2θ 14.72, rel. 35
- 2θ 52.80, rel. 31

Crystal structure
Lattice parameters (Å, degrees): 6.9368 6.9534 10.6348 89.27 89.91 60.12
Sites, in units of the cell vectors:
Mg (0.0000, 0.0000, 0.0000)
Fe (0.2514, 0.5014, 0.5295)
Fe (0.2541, 0.0019, 0.5348)
Fe (0.7477, 0.0022, 0.5348)
Fe (0.7599, 0.4831, 0.0342)
Si (0.0924, 0.8164, 0.7738)
Si (0.4149, 0.1763, 0.2979)
Sn (0.0816, 0.3374, 0.8290)
Sn (0.4233, 0.6715, 0.2308)
Sn (0.5838, 0.3386, 0.8290)
Sn (0.5947, 0.8123, 0.8401)
Sn (0.7503, 0.5036, 0.5348)
Sn (0.9061, 0.1947, 0.2492)
Sn (0.9101, 0.6703, 0.2306)
O (0.0682, 0.3395, 0.6298)
O (0.0766, 0.8519, 0.1705)
O (0.0820, 0.8346, 0.6212)
O (0.2125, 0.9365, 0.8481)
O (0.2229, 0.5584, 0.8196)
O (0.2832, 0.0489, 0.2499)
O (0.2830, 0.4390, 0.2532)
O (0.4183, 0.1713, 0.4547)
O (0.4261, 0.1511, 0.8443)
O (0.4319, 0.6673, 0.4357)
O (0.5959, 0.3413, 0.6299)
O (0.5966, 0.8094, 0.6378)
O (0.6730, 0.0495, 0.2486)
O (0.8531, 0.9333, 0.8492)
O (0.9049, 0.6656, 0.4353)
O (0.9149, 0.1759, 0.4450)

***

# 3
SrEuCrWO6: computed XRD peak list (Cu Kα (λ = 1.5418 Å)), based on a cell relaxed with PBE+U.
Lines closer than 0.1° are merged.

Peak list (10 most intense, 10 to 90 degrees two-theta, by intensity)
- 2θ 31.70, rel. 100
- 2θ 56.46, rel. 39
- 2θ 45.44, rel. 30
- 2θ 19.25, rel. 22
- 2θ 66.21, rel. 18
- 2θ 75.27, rel. 17
- 2θ 37.35, rel. 13
- 2θ 83.97, rel. 6
- 2θ 49.78, rel. 6
- 2θ 60.23, rel. 5

Crystal structure
Lattice parameters (Å, degrees): 5.6458 5.6458 5.6458 60.00 60.00 60.00
Sites, in units of the cell vectors:
Sr (0.0000, 0.0000, 0.0000)
Eu (0.5000, 0.5000, 0.5000)
Cr (0.2500, 0.2500, 0.2500)
W (0.7500, 0.7500, 0.7500)
O (0.9997, 0.9997, 0.5003)
O (0.9997, 0.5003, 0.9997)
O (0.9997, 0.5003, 0.5003)
O (0.5003, 0.9997, 0.9997)
O (0.5003, 0.9997, 0.5003)
O (0.5003, 0.5003, 0.9997)

***

# 4
CsCrCoF6: computed XRD peak list (Cu Kα (λ = 1.5418 Å)), based on a cell relaxed with PBE+U.
Lines closer than 0.1° are merged.

Peak list (10 most intense, 10 to 90 degrees two-theta, by intensity)
- 2θ 28.10, rel. 100
- 2θ 27.78, rel. 52
- 2θ 23.74, rel. 37
- 2θ 48.59, rel. 37
- 2θ 44.53, rel. 27
- 2θ 29.26, rel. 26
- 2θ 48.98, rel. 18
- 2θ 23.93, rel. 18
- 2θ 57.25, rel. 15
- 2θ 44.74, rel. 12

Crystal structure
Lattice parameters (Å, degrees): 7.4958 7.4958 7.4958 120.57 120.45 89.12
Sites, in units of the cell vectors:
Cs (0.3712, 0.1212, 0.2500)
Cs (0.6288, 0.8788, 0.7500)
Cr (0.0000, 0.5000, 0.5000)
Cr (0.5000, 0.5000, 0.0000)
Co (0.0000, 0.0000, 0.5000)
Co (0.0000, 0.5000, 0.0000)
F (0.0718, 0.4349, 0.2635)
F (0.0718, 0.8083, 0.6369)
F (0.0724, 0.8224, 0.2500)
F (0.3112, 0.5612, 0.7500)
F (0.3286, 0.1917, 0.7635)
F (0.3286, 0.5651, 0.1369)
F (0.6714, 0.4349, 0.8631)
F (0.6714, 0.8083, 0.2365)
F (0.6888, 0.4388, 0.2500)
F (0.9276, 0.1776, 0.7500)
F (0.9282, 0.1917, 0.3631)
F (0.9282, 0.5651, 0.7365)

***

# 5
Sr2MgV2Si4O14: computed XRD peak list (Cu Kα (λ = 1.5418 Å)), based on a cell relaxed with PBE+U.
Lines closer than 0.1° are merged.

Peak list (10 most intense, 10 to 90 degrees two-theta, by intensity)
- 2θ 24.04, rel. 100
- 2θ 29.78, rel. 85
- 2θ 28.27, rel. 83
- 2θ 32.47, rel. 63
- 2θ 29.64, rel. 34
- 2θ 43.95, rel. 31
- 2θ 28.71, rel. 28
- 2θ 34.21, rel. 26
- 2θ 49.18, rel. 24
- 2θ 37.52, rel. 23

Crystal structure
Lattice parameters (Å, degrees): 5.5238 7.4220 8.0962 101.94 109.54 93.15
Sites, in units of the cell vectors:
Sr (0.0000, 0.0000, 0.0000)
Sr (0.3199, 0.6419, 0.6632)
Mg (0.8701, 0.2561, 0.7510)
V (0.0134, 0.5770, 0.1152)
V (0.2710, 0.1301, 0.5382)
Si (0.5292, 0.2573, 0.0465)
Si (0.5355, 0.8246, 0.1019)
Si (0.7145, 0.4201, 0.4730)
Si (0.7840, 0.8636, 0.5297)
O (0.0916, 0.9417, 0.6233)
O (0.1578, 0.5906, 0.3429)
O (0.1718, 0.0485, 0.3021)
O (0.2385, 0.7192, 0.0080)
O (0.2402, 0.2733, 0.9195)
O (0.5362, 0.0323, 0.0501)
O (0.5408, 0.3528, 0.5863)
O (0.5915, 0.3758, 0.2550)
O (0.6397, 0.9957, 0.6472)
O (0.6591, 0.8522, 0.3170)
O (0.7159, 0.7189, 0.9991)
O (0.7617, 0.6495, 0.5613)
O (0.7692, 0.3187, 0.9815)
O (0.9871, 0.3382, 0.5598)

***

# 6
NaMgNiO2: computed XRD peak list (Cu Kα (λ = 1.5418 Å)), based on a cell relaxed with PBE+U.
Lines closer than 0.1° are merged.

Peak list (10 most intense, 10 to 90 degrees two-theta, by intensity)
- 2θ 13.21, rel. 100
- 2θ 32.32, rel. 64
- 2θ 40.36, rel. 49
- 2θ 36.01, rel. 42
- 2θ 41.47, rel. 32
- 2θ 39.54, rel. 27
- 2θ 67.68, rel. 24
- 2θ 51.83, rel. 20
- 2θ 56.04, rel. 19
- 2θ 33.47, rel. 18

Crystal structure
Lattice parameters (Å, degrees): 3.3018 3.3018 6.7267 94.16 94.16 64.59
Sites, in units of the cell vectors:
Na (0.0000, 0.0000, 0.0000)
Mg (0.7607, 0.7607, 0.5951)
Ni (0.3766, 0.3766, 0.2898)
O (0.1186, 0.1186, 0.6878)
O (0.7359, 0.7359, 0.2773)

***

# 7
FeOF: computed XRD peak list (Cu Kα (λ = 1.5418 Å)), based on a cell relaxed with PBE+U.
Lines closer than 0.1° are merged.

Peak list (10 most intense, 10 to 90 degrees two-theta, by intensity)
- 2θ 12.92, rel. 100
- 2θ 39.20, rel. 41
- 2θ 26.34, rel. 26
- 2θ 26.47, rel. 26
- 2θ 46.85, rel. 14
- 2θ 39.48, rel. 13
- 2θ 31.70, rel. 12
- 2θ 55.19, rel. 9
- 2θ 55.40, rel. 9
- 2θ 62.56, rel. 9

Crystal structure
Lattice parameters (Å, degrees): 3.8786 3.0980 6.8525 90.00 90.32 90.00
Sites, in units of the cell vectors:
Fe (0.2490, 0.2500, 0.1366)
Fe (0.7510, 0.7500, 0.8634)
O (0.2519, 0.7500, 0.9295)
O (0.7481, 0.2500, 0.0705)
F (0.2497, 0.7500, 0.3181)
F (0.7503, 0.2500, 0.6819)

***

# 8
Sr2MgZrVO6: computed XRD peak list (Cu Kα (λ = 1.5418 Å)), based on a cell relaxed with PBE+U.
Lines closer than 0.1° are merged.

Peak list (10 most intense, 10 to 90 degrees two-theta, by intensity)
- 2θ 30.65, rel. 100
- 2θ 27.74, rel. 54
- 2θ 45.04, rel. 41
- 2θ 41.81, rel. 37
- 2θ 32.17, rel. 37
- 2θ 63.82, rel. 21
- 2θ 52.73, rel. 19
- 2θ 54.49, rel. 19
- 2θ 20.56, rel. 19
- 2θ 45.08, rel. 15

Crystal structure
Lattice parameters (Å, degrees): 5.8342 5.8342 6.5039 116.72 116.72 59.98
Sites, in units of the cell vectors:
Sr (0.0000, 0.0000, 0.0000)
Sr (0.5332, 0.5332, 0.5986)
Mg (0.1788, 0.1788, 0.5382)
Zr (0.8029, 0.8029, 0.4088)
V (0.3324, 0.3324, 0.9975)
O (0.0631, 0.5673, 0.6948)
O (0.0639, 0.0639, 0.6961)
O (0.0896, 0.5712, 0.2303)
O (0.5673, 0.0631, 0.6948)
O (0.5703, 0.5703, 0.2287)
O (0.5712, 0.0896, 0.2303)